Starting from a DFT-relaxed cell (PBE, Alexandria), the powder diffraction line list of Cu2AsAu was computed for Cu Ka.

Cell and atoms:
Cell lengths 8.4138, 8.4138, 8.4138 Å; angles 20.06, 20.06, 20.06 degrees
Sites, in units of the cell vectors:
Cu1 0.0000 0.0000 0.0000
Cu2 0.1739 0.1739 0.1739
As1 0.5869 0.5869 0.5869
Au1 0.7536 0.7536 0.7536

Main lines, by angle (2θ from 10° to 90°):
10.73°, d 8.242, rel. 66
21.56°, d 4.121, rel. 24
35.55°, d 2.525, rel. 36
36.12°, d 2.487, rel. 33
38.33°, d 2.348, rel. 36
39.92°, d 2.258, rel. 96
43.93°, d 2.061, rel. 100
63.47°, d 1.466, rel. 34
75.30°, d 1.262, rel. 19
80.40°, d 1.194, rel. 45